No. 1
For Cu2Ag3, a DFT-relaxed cell (GGA-PBE, OQMD) gives the calculated X-ray diffraction stick pattern in this record (Cu Kα X-rays).
Intensities are scaled so that the largest is 100.

```
data_Cu2Ag3
_symmetry_space_group_name_H-M 'P 1'
_symmetry_Int_Tables_number 1
_symmetry_space_group_name_Hall 'P 1'
_cell_length_a 4.9658
_cell_length_b 4.9658
_cell_length_c 11.5052
_cell_angle_alpha 97.64
_cell_angle_beta 97.64
_cell_angle_gamma 33.70
loop_
_atom_site_label
_atom_site_type_symbol
_atom_site_fract_x
_atom_site_fract_y
_atom_site_fract_z
_atom_site_occupancy
Cu1 Cu 0.0000 0.0000 0.0000 1
Cu2 Cu 0.3471 0.3471 0.1116 1
Cu3 Cu 0.5331 0.5331 0.4765 1
Cu4 Cu 0.9415 0.9415 0.2919 1
Ag1 Ag 0.1288 0.1288 0.6880 1
Ag2 Ag 0.2353 0.2353 0.3822 1
Ag3 Ag 0.4200 0.4200 0.8044 1
Ag4 Ag 0.6329 0.6329 0.1772 1
Ag5 Ag 0.7120 0.7120 0.9214 1
Ag6 Ag 0.8417 0.8417 0.5856 1
```

Main lines, by intensity (2θ = 10–80°):
39.6 deg, 2.274 Å, I 100
44.2 deg, 2.051 Å, I 75
39.2 deg, 2.299 Å, I 51
39.3 deg, 2.290 Å, I 46
49.2 deg, 1.853 Å, I 19
68.1 deg, 1.377 Å, I 14
78.5 deg, 1.219 Å, I 13
77.6 deg, 1.231 Å, I 13


No. 2
For Ho4Sc2Bi2Os, a DFT-relaxed cell (GGA-PBE, OQMD) gives the calculated X-ray diffraction stick pattern in this record (Cu Kα X-rays).
Intensities are scaled so that the largest is 100.

```
data_Ho4Sc2Bi2Os
_symmetry_space_group_name_H-M 'P 1'
_symmetry_Int_Tables_number 1
_symmetry_space_group_name_Hall 'P 1'
_cell_length_a 4.2117
_cell_length_b 8.0417
_cell_length_c 8.0417
_cell_angle_alpha 119.99
_cell_angle_beta 90.00
_cell_angle_gamma 90.00
loop_
_atom_site_label
_atom_site_type_symbol
_atom_site_fract_x
_atom_site_fract_y
_atom_site_fract_z
_atom_site_occupancy
Ho1 Ho 0.0000 0.0000 0.0000 1
Ho2 Ho 0.0000 0.2301 0.6201 1
Ho3 Ho 0.0000 0.6201 0.2301 1
Ho4 Ho 0.5000 0.3908 0.3908 1
Sc1 Sc 0.5000 0.6187 0.8455 1
Sc2 Sc 0.5000 0.8455 0.6187 1
Bi1 Bi 0.5000 0.2838 0.9455 1
Bi2 Bi 0.5000 0.9455 0.2838 1
Os1 Os 0.0000 0.6320 0.6320 1
```

Main lines, by intensity (2θ = 10–80°):
30.7 deg, 2.908 Å, I 100
33.4 deg, 2.684 Å, I 88
38.8 deg, 2.322 Å, I 56
40.4 deg, 2.232 Å, I 51
22.1 deg, 4.021 Å, I 41
59.2 deg, 1.560 Å, I 33
62.1 deg, 1.494 Å, I 32
34.1 deg, 2.632 Å, I 29


No. 3
For BaTa2F12, a DFT-relaxed cell (GGA-PBE, OQMD) gives the calculated X-ray diffraction stick pattern in this record (Cu Kα X-rays).
Intensities are scaled so that the largest is 100.

```
data_BaTa2F12
_symmetry_space_group_name_H-M 'P 1'
_symmetry_Int_Tables_number 1
_symmetry_space_group_name_Hall 'P 1'
_cell_length_a 4.9264
_cell_length_b 5.2206
_cell_length_c 8.4875
_cell_angle_alpha 75.88
_cell_angle_beta 79.26
_cell_angle_gamma 62.39
loop_
_atom_site_label
_atom_site_type_symbol
_atom_site_fract_x
_atom_site_fract_y
_atom_site_fract_z
_atom_site_occupancy
Ba1 Ba 0.0000 0.0000 0.0000 1
Ta1 Ta 0.3251 0.2864 0.2849 1
Ta2 Ta 0.4629 0.5151 0.6547 1
F1 F 0.0310 0.7326 0.6754 1
F2 F 0.0879 0.1390 0.4411 1
F3 F 0.1829 0.6566 0.3423 1
F4 F 0.4011 0.2566 0.8521 1
F5 F 0.4357 0.9834 0.1537 1
F6 F 0.4586 0.7824 0.7753 1
F7 F 0.4649 0.2297 0.5430 1
F8 F 0.4773 0.4858 0.0754 1
F9 F 0.6175 0.6837 0.4593 1
F10 F 0.7540 0.1041 0.2916 1
F11 F 0.8811 0.2901 0.7126 1
F12 F 0.9788 0.4798 0.1470 1
```

Main lines, by intensity (2θ = 10–80°):
24.0 deg, 3.708 Å, I 100
21.2 deg, 4.186 Å, I 58
26.5 deg, 3.364 Å, I 48
20.4 deg, 4.349 Å, I 34
26.3 deg, 3.384 Å, I 33
34.2 deg, 2.622 Å, I 33
28.6 deg, 3.119 Å, I 32
26.2 deg, 3.406 Å, I 27


No. 4
For Sm2Ga2Co5, a DFT-relaxed cell (GGA-PBE, OQMD) gives the calculated X-ray diffraction stick pattern in this record (Cu Kα X-rays).
Intensities are scaled so that the largest is 100.

```
data_Sm2Ga2Co5
_symmetry_space_group_name_H-M 'P 1'
_symmetry_Int_Tables_number 1
_symmetry_space_group_name_Hall 'P 1'
_cell_length_a 12.0544
_cell_length_b 12.0544
_cell_length_c 12.0544
_cell_angle_alpha 24.89
_cell_angle_beta 24.89
_cell_angle_gamma 24.89
loop_
_atom_site_label
_atom_site_type_symbol
_atom_site_fract_x
_atom_site_fract_y
_atom_site_fract_z
_atom_site_occupancy
Sm1 Sm 0.0489 0.0489 0.0489 1
Sm2 Sm 0.1474 0.1474 0.1474 1
Sm3 Sm 0.8526 0.8526 0.8526 1
Sm4 Sm 0.9511 0.9511 0.9511 1
Ga1 Ga 0.2780 0.2780 0.2780 1
Ga2 Ga 0.3883 0.3883 0.3883 1
Ga3 Ga 0.6117 0.6117 0.6117 1
Ga4 Ga 0.7220 0.7220 0.7220 1
Co1 Co 0.0000 0.5000 0.5000 1
Co2 Co 0.1125 0.6098 0.6098 1
Co3 Co 0.3902 0.3902 0.8875 1
Co4 Co 0.3902 0.8875 0.3902 1
Co5 Co 0.5000 0.0000 0.5000 1
Co6 Co 0.5000 0.5000 0.0000 1
Co7 Co 0.5000 0.5000 0.5000 1
Co8 Co 0.6098 0.1125 0.6098 1
Co9 Co 0.6098 0.6098 0.1125 1
Co10 Co 0.8875 0.3902 0.3902 1
```

Main lines, by intensity (2θ = 10–80°):
41.8 deg, 2.161 Å, I 100
34.5 deg, 2.598 Å, I 81
32.4 deg, 2.764 Å, I 34
40.2 deg, 2.245 Å, I 33
66.9 deg, 1.399 Å, I 24
72.8 deg, 1.299 Å, I 23
61.9 deg, 1.500 Å, I 22
45.3 deg, 2.001 Å, I 13


No. 5
For Gd, a DFT-relaxed cell (GGA-PBE, OQMD) gives the calculated X-ray diffraction stick pattern in this record (Cu Kα X-rays).
Intensities are scaled so that the largest is 100.

```
data_Gd
_symmetry_space_group_name_H-M 'P 1'
_symmetry_Int_Tables_number 1
_symmetry_space_group_name_Hall 'P 1'
_cell_length_a 8.8848
_cell_length_b 8.8848
_cell_length_c 8.8848
_cell_angle_alpha 23.36
_cell_angle_beta 23.36
_cell_angle_gamma 23.36
loop_
_atom_site_label
_atom_site_type_symbol
_atom_site_fract_x
_atom_site_fract_y
_atom_site_fract_z
_atom_site_occupancy
Gd1 Gd 0.0000 0.0000 0.0000 1
Gd2 Gd 0.2222 0.2222 0.2222 1
Gd3 Gd 0.7778 0.7778 0.7778 1
```

Main lines, by intensity (2θ = 10–80°):
31.9 deg, 2.807 Å, I 100
33.6 deg, 2.670 Å, I 87
31.1 deg, 2.880 Å, I 50
60.7 deg, 1.525 Å, I 45
50.8 deg, 1.798 Å, I 38
28.9 deg, 3.093 Å, I 37
54.7 deg, 1.679 Å, I 22
58.0 deg, 1.591 Å, I 18


No. 6
For Hf3Zr3FeSn2, a DFT-relaxed cell (GGA-PBE, OQMD) gives the calculated X-ray diffraction stick pattern in this record (Cu Kα X-rays).
Intensities are scaled so that the largest is 100.

```
data_Hf3Zr3FeSn2
_symmetry_space_group_name_H-M 'P 1'
_symmetry_Int_Tables_number 1
_symmetry_space_group_name_Hall 'P 1'
_cell_length_a 7.9730
_cell_length_b 7.9730
_cell_length_c 3.4584
_cell_angle_alpha 90.00
_cell_angle_beta 90.00
_cell_angle_gamma 120.00
loop_
_atom_site_label
_atom_site_type_symbol
_atom_site_fract_x
_atom_site_fract_y
_atom_site_fract_z
_atom_site_occupancy
Hf1 Hf 0.0000 0.2373 0.0000 1
Hf2 Hf 0.2373 0.0000 0.0000 1
Hf3 Hf 0.7627 0.7627 0.0000 1
Zr1 Zr 0.0000 0.6098 0.5000 1
Zr2 Zr 0.3902 0.3902 0.5000 1
Zr3 Zr 0.6098 0.0000 0.5000 1
Fe1 Fe 0.0000 0.0000 0.5000 1
Sn1 Sn 0.3333 0.6667 0.0000 1
Sn2 Sn 0.6667 0.3333 0.0000 1
```

Main lines, by intensity (2θ = 10–80°):
34.3 deg, 2.611 Å, I 100
43.4 deg, 2.083 Å, I 35
64.7 deg, 1.441 Å, I 32
36.8 deg, 2.443 Å, I 31
67.8 deg, 1.382 Å, I 22
39.1 deg, 2.302 Å, I 19
53.0 deg, 1.728 Å, I 13
25.8 deg, 3.458 Å, I 12


No. 7
For Rb4NbGeSe6, a DFT-relaxed cell (GGA-PBE, OQMD) gives the calculated X-ray diffraction stick pattern in this record (Cu Kα X-rays).
Intensities are scaled so that the largest is 100.

```
data_Rb4NbGeSe6
_symmetry_space_group_name_H-M 'P 1'
_symmetry_Int_Tables_number 1
_symmetry_space_group_name_Hall 'P 1'
_cell_length_a 7.2424
_cell_length_b 7.9774
_cell_length_c 9.3748
_cell_angle_alpha 72.35
_cell_angle_beta 68.40
_cell_angle_gamma 64.00
loop_
_atom_site_label
_atom_site_type_symbol
_atom_site_fract_x
_atom_site_fract_y
_atom_site_fract_z
_atom_site_occupancy
Rb1 Rb 0.0000 0.0000 0.0000 1
Rb2 Rb 0.1779 0.3907 0.2529 1
Rb3 Rb 0.4038 0.7507 0.4539 1
Rb4 Rb 0.7611 0.6454 0.8178 1
Nb1 Nb 0.7093 0.1399 0.4467 1
Ge1 Ge 0.4560 0.2566 0.8245 1
Se1 Se 0.2723 0.5779 0.8580 1
Se2 Se 0.3452 0.1888 0.6293 1
Se3 Se 0.4699 0.0149 0.0450 1
Se4 Se 0.7003 0.3800 0.2168 1
Se5 Se 0.8208 0.2100 0.6377 1
Se6 Se 0.8994 0.8152 0.4040 1
```

Main lines, by intensity (2θ = 10–80°):
25.6 deg, 3.482 Å, I 100
24.6 deg, 3.620 Å, I 93
26.0 deg, 3.421 Å, I 87
31.7 deg, 2.826 Å, I 46
15.1 deg, 5.885 Å, I 41
41.4 deg, 2.179 Å, I 39
50.4 deg, 1.810 Å, I 27
52.6 deg, 1.741 Å, I 27


No. 8
For K2TlAgF6, a DFT-relaxed cell (GGA-PBE, OQMD) gives the calculated X-ray diffraction stick pattern in this record (Cu Kα X-rays).
Intensities are scaled so that the largest is 100.

```
data_K2TlAgF6
_symmetry_space_group_name_H-M 'P 1'
_symmetry_Int_Tables_number 1
_symmetry_space_group_name_Hall 'P 1'
_cell_length_a 6.2844
_cell_length_b 6.2844
_cell_length_c 6.2844
_cell_angle_alpha 60.00
_cell_angle_beta 60.00
_cell_angle_gamma 60.00
loop_
_atom_site_label
_atom_site_type_symbol
_atom_site_fract_x
_atom_site_fract_y
_atom_site_fract_z
_atom_site_occupancy
K1 K 0.2500 0.2500 0.2500 1
K2 K 0.7500 0.7500 0.7500 1
Tl1 Tl 0.0000 0.0000 0.0000 1
Ag1 Ag 0.5000 0.5000 0.5000 1
F1 F 0.2443 0.2443 0.7557 1
F2 F 0.2443 0.7557 0.2443 1
F3 F 0.2443 0.7557 0.7557 1
F4 F 0.7557 0.2443 0.2443 1
F5 F 0.7557 0.2443 0.7557 1
F6 F 0.7557 0.7557 0.2443 1
```

Main lines, by intensity (2θ = 10–80°):
28.4 deg, 3.142 Å, I 100
20.0 deg, 4.444 Å, I 68
50.3 deg, 1.814 Å, I 41
40.6 deg, 2.222 Å, I 39
45.7 deg, 1.987 Å, I 32
58.8 deg, 1.571 Å, I 24
66.5 deg, 1.405 Å, I 18
62.7 deg, 1.481 Å, I 15


No. 9
For TbSmO4, a DFT-relaxed cell (GGA-PBE, OQMD) gives the calculated X-ray diffraction stick pattern in this record (Cu Kα X-rays).
Intensities are scaled so that the largest is 100.

```
data_TbSmO4
_symmetry_space_group_name_H-M 'P 1'
_symmetry_Int_Tables_number 1
_symmetry_space_group_name_Hall 'P 1'
_cell_length_a 3.8946
_cell_length_b 3.8946
_cell_length_c 6.2332
_cell_angle_alpha 95.82
_cell_angle_beta 95.82
_cell_angle_gamma 58.09
loop_
_atom_site_label
_atom_site_type_symbol
_atom_site_fract_x
_atom_site_fract_y
_atom_site_fract_z
_atom_site_occupancy
Tb1 Tb 0.0000 0.0000 0.0000 1
Sm1 Sm 0.3711 0.3711 0.4600 1
O1 O 0.0366 0.0366 0.3708 1
O2 O 0.3325 0.3325 0.0801 1
O3 O 0.5956 0.5956 0.7953 1
O4 O 0.7725 0.7725 0.6760 1
```

Main lines, by intensity (2θ = 10–80°):
29.9 deg, 2.984 Å, I 100
28.8 deg, 3.096 Å, I 46
31.4 deg, 2.847 Å, I 36
26.4 deg, 3.382 Å, I 31
46.9 deg, 1.937 Å, I 30
31.6 deg, 2.833 Å, I 30
50.8 deg, 1.796 Å, I 29
58.7 deg, 1.573 Å, I 25


No. 10
For NaGdCoS3, a DFT-relaxed cell (GGA-PBE, OQMD) gives the calculated X-ray diffraction stick pattern in this record (Cu Kα X-rays).
Intensities are scaled so that the largest is 100.

```
data_NaGdCoS3
_symmetry_space_group_name_H-M 'P 1'
_symmetry_Int_Tables_number 1
_symmetry_space_group_name_Hall 'P 1'
_cell_length_a 8.0567
_cell_length_b 3.8612
_cell_length_c 8.9574
_cell_angle_alpha 90.00
_cell_angle_beta 102.28
_cell_angle_gamma 90.00
loop_
_atom_site_label
_atom_site_type_symbol
_atom_site_fract_x
_atom_site_fract_y
_atom_site_fract_z
_atom_site_occupancy
Na1 Na 0.1851 0.2500 0.2020 1
Na2 Na 0.8149 0.7500 0.7980 1
Gd1 Gd 0.3286 0.7500 0.8496 1
Gd2 Gd 0.6714 0.2500 0.1504 1
Co1 Co 0.0793 0.2500 0.5834 1
Co2 Co 0.9207 0.7500 0.4166 1
S1 S 0.0870 0.2500 0.8411 1
S2 S 0.1880 0.7500 0.5279 1
S3 S 0.4306 0.7500 0.1616 1
S4 S 0.5694 0.2500 0.8384 1
S5 S 0.8120 0.2500 0.4721 1
S6 S 0.9130 0.7500 0.1589 1
```

Main lines, by intensity (2θ = 10–80°):
13.4 deg, 6.591 Å, I 100
32.5 deg, 2.753 Å, I 54
49.2 deg, 1.853 Å, I 23
30.6 deg, 2.918 Å, I 21
38.4 deg, 2.343 Å, I 15
28.6 deg, 3.124 Å, I 14
25.3 deg, 3.524 Å, I 14
30.9 deg, 2.895 Å, I 12


No. 11
For Ag, a DFT-relaxed cell (GGA-PBE, OQMD) gives the calculated X-ray diffraction stick pattern in this record (Cu Kα X-rays).
Intensities are scaled so that the largest is 100.

```
data_Ag
_symmetry_space_group_name_H-M 'P 1'
_symmetry_Int_Tables_number 1
_symmetry_space_group_name_Hall 'P 1'
_cell_length_a 7.0877
_cell_length_b 7.0877
_cell_length_c 7.0877
_cell_angle_alpha 90.00
_cell_angle_beta 90.00
_cell_angle_gamma 90.00
loop_
_atom_site_label
_atom_site_type_symbol
_atom_site_fract_x
_atom_site_fract_y
_atom_site_fract_z
_atom_site_occupancy
Ag1 Ag 0.0510 0.1250 0.8010 1
Ag2 Ag 0.0568 0.9432 0.4432 1
Ag3 Ag 0.1250 0.8010 0.0510 1
Ag4 Ag 0.1932 0.1932 0.1932 1
Ag5 Ag 0.1990 0.5510 0.3750 1
Ag6 Ag 0.3010 0.4490 0.8750 1
Ag7 Ag 0.3068 0.8068 0.6932 1
Ag8 Ag 0.3750 0.1990 0.5510 1
Ag9 Ag 0.4432 0.0568 0.9432 1
Ag10 Ag 0.4490 0.8750 0.3010 1
Ag11 Ag 0.5510 0.3750 0.1990 1
Ag12 Ag 0.5568 0.5568 0.5568 1
Ag13 Ag 0.6250 0.6990 0.9490 1
Ag14 Ag 0.6932 0.3068 0.8068 1
Ag15 Ag 0.6990 0.9490 0.6250 1
Ag16 Ag 0.8010 0.0510 0.1250 1
Ag17 Ag 0.8068 0.6932 0.3068 1
Ag18 Ag 0.8750 0.3010 0.4490 1
Ag19 Ag 0.9432 0.4432 0.0568 1
Ag20 Ag 0.9490 0.6250 0.6990 1
```

Main lines, by intensity (2θ = 10–80°):
38.1 deg, 2.363 Å, I 100
40.2 deg, 2.241 Å, I 57
42.3 deg, 2.137 Å, I 33
67.4 deg, 1.390 Å, I 29
71.7 deg, 1.316 Å, I 21
48.0 deg, 1.894 Å, I 8
73.1 deg, 1.294 Å, I 7
55.0 deg, 1.671 Å, I 7


No. 12
For Gd2Er2I5N, a DFT-relaxed cell (GGA-PBE, OQMD) gives the calculated X-ray diffraction stick pattern in this record (Cu Kα X-rays).
Intensities are scaled so that the largest is 100.

```
data_Gd2Er2I5N
_symmetry_space_group_name_H-M 'P 1'
_symmetry_Int_Tables_number 1
_symmetry_space_group_name_Hall 'P 1'
_cell_length_a 10.5581
_cell_length_b 10.5581
_cell_length_c 8.5168
_cell_angle_alpha 101.46
_cell_angle_beta 101.46
_cell_angle_gamma 21.34
loop_
_atom_site_label
_atom_site_type_symbol
_atom_site_fract_x
_atom_site_fract_y
_atom_site_fract_z
_atom_site_occupancy
Gd1 Gd 0.9998 0.9998 0.1915 1
Gd2 Gd 0.0002 0.0002 0.8085 1
Er1 Er 0.3881 0.3881 0.9446 1
Er2 Er 0.6119 0.6119 0.0554 1
I1 I 0.1522 0.1522 0.3278 1
I2 I 0.1531 0.1531 0.8231 1
I3 I 0.5000 0.5000 0.5000 1
I4 I 0.8469 0.8469 0.1769 1
I5 I 0.8478 0.8478 0.6722 1
N1 N 0.5000 0.5000 0.0000 1
```

Main lines, by intensity (2θ = 10–80°):
31.1 deg, 2.880 Å, I 100
10.6 deg, 8.341 Å, I 39
26.3 deg, 3.387 Å, I 34
41.1 deg, 2.194 Å, I 26
46.4 deg, 1.955 Å, I 24
32.1 deg, 2.791 Å, I 20
29.5 deg, 3.033 Å, I 18
31.8 deg, 2.818 Å, I 18


No. 13
For ZrBeIn2, a DFT-relaxed cell (GGA-PBE, OQMD) gives the calculated X-ray diffraction stick pattern in this record (Cu Kα X-rays).
Intensities are scaled so that the largest is 100.

```
data_ZrBeIn2
_symmetry_space_group_name_H-M 'P 1'
_symmetry_Int_Tables_number 1
_symmetry_space_group_name_Hall 'P 1'
_cell_length_a 4.8529
_cell_length_b 4.8529
_cell_length_c 4.8529
_cell_angle_alpha 60.00
_cell_angle_beta 60.00
_cell_angle_gamma 60.00
loop_
_atom_site_label
_atom_site_type_symbol
_atom_site_fract_x
_atom_site_fract_y
_atom_site_fract_z
_atom_site_occupancy
Zr1 Zr 0.0000 0.0000 0.0000 1
Be1 Be 0.7500 0.7500 0.7500 1
In1 In 0.2500 0.2500 0.2500 1
In2 In 0.5000 0.5000 0.5000 1
```

Main lines, by intensity (2θ = 10–80°):
37.0 deg, 2.426 Å, I 100
66.8 deg, 1.401 Å, I 34
22.4 deg, 3.962 Å, I 28
53.4 deg, 1.716 Å, I 17
43.7 deg, 2.069 Å, I 14
78.9 deg, 1.213 Å, I 10
26.0 deg, 3.432 Å, I 9
58.6 deg, 1.575 Å, I 6